Computed X-ray diffraction stick pattern
Compound: CeZrOsRh
Radiation: copper Kα
Structure: a PBE-relaxed structure
Intensities are scaled so that the largest is 100.

The 8 most intense peaks (2θ = 5–70°), sorted by position:
2θ/deg, d (Å), intensity
22.8, 3.903, 7.1
26.4, 3.380, 1.6
37.6, 2.390, 100.0
44.4, 2.038, 4.1
54.3, 1.690, 17.3
59.6, 1.551, 1.8
61.3, 1.512, 0.7
67.9, 1.380, 35.0

Cell and atoms:
Lattice parameters (Å, degrees): 4.780 4.780 4.780 60.00 60.00 60.00
Sites, in units of the cell vectors:
Ce 0.000 0.000 0.000
Zr 0.500 0.500 0.500
Os 0.250 0.250 0.250
Rh 0.750 0.750 0.750